# MnAg2Os
Calculated XRD peak list, Cu Kα, 1.54184 Å. Input: a PBE-relaxed structure.
Peak positions follow from Bragg's law for the DFT cell and can differ from measured ones.

Largest 10 diffraction maxima, sorted by position, 2θ = 15–90°:
| two_theta | d (Å) | I (rel.) |
| --- | --- | --- |
| 19.06 | 4.656 | 13 |
| 28.76 | 3.104 | 9 |
| 37.34 | 2.408 | 8 |
| 38.68 | 2.328 | 57 |
| 41.07 | 2.198 | 100 |
| 55.86 | 1.646 | 17 |
| 62.22 | 1.492 | 8 |
| 71.63 | 1.317 | 31 |
| 76.41 | 1.247 | 15 |
| 89.10 | 1.099 | 9 |

Structural model:
```
MnAg2Os
1.0
1.476 -2.327 0.000
1.476 2.327 0.000
0.000 0.000 9.313
Mn Ag Os
1 2 1
Direct
0.000 0.000 0.000 Mn
0.000 0.000 0.481 Ag
0.500 0.500 0.749 Ag
0.500 0.500 0.212 Os
```